No. 1
For Er7Fe2Te2, a structure optimized by DFT (PBE) gives the simulated powder diffractogram in this record (copper Kα).
Peak positions follow from Bragg's law for the DFT cell and can differ from measured ones.

Atomic structure:
```
Er7Fe2Te2
1.0
-1.932 7.802 4.651
1.932 -7.802 4.651
1.932 7.802 -4.651
Er Fe Te
7 2 2
Direct
0.000 0.000 0.000 Er
0.283 0.419 0.865 Er
0.312 0.626 0.686 Er
0.554 0.419 0.135 Er
0.615 0.265 0.349 Er
0.916 0.265 0.651 Er
0.941 0.626 0.314 Er
0.171 0.934 0.237 Fe
0.697 0.934 0.763 Fe
0.266 0.766 0.500 Te
0.665 0.665 0.000 Te
```

Largest 10 diffraction maxima, by intensity, 10° ≤ 2θ ≤ 90°:
2θ (°)	d_spacing	I_rel
34.0	2.633	100
33.7	2.663	82
34.8	2.581	59
30.6	2.920	55
59.1	1.564	33
47.0	1.932	32
34.5	2.601	29
28.8	3.102	24
37.2	2.418	22
30.2	2.959	22

No. 2
For Er6FeTe4, a structure optimized by DFT (PBE) gives the simulated powder diffractogram in this record (copper Kα).
Peak positions follow from Bragg's law for the DFT cell and can differ from measured ones.

Atomic structure:
```
Er6FeTe4
1.0
5.942 3.430 4.998
-5.942 3.430 4.998
0.000 -6.861 4.998
Er Fe Te
12 2 8
Direct
0.061 0.930 0.716 Er
0.070 0.284 0.939 Er
0.216 0.430 0.561 Er
0.284 0.939 0.070 Er
0.430 0.561 0.216 Er
0.439 0.784 0.570 Er
0.561 0.216 0.430 Er
0.570 0.439 0.784 Er
0.716 0.061 0.930 Er
0.784 0.570 0.439 Er
0.930 0.716 0.061 Er
0.939 0.070 0.284 Er
0.000 0.000 0.000 Fe
0.500 0.500 0.500 Fe
0.119 0.750 0.381 Te
0.250 0.250 0.250 Te
0.250 0.619 0.881 Te
0.381 0.119 0.750 Te
0.619 0.881 0.250 Te
0.750 0.381 0.119 Te
0.750 0.750 0.750 Te
0.881 0.250 0.619 Te
```

Largest 10 diffraction maxima, by intensity, 10° ≤ 2θ ≤ 90°:
2θ (°)	d_spacing	I_rel
35.1	2.554	100
31.9	2.804	37
33.2	2.699	36
53.4	1.714	30
35.9	2.499	25
25.8	3.453	24
45.4	1.998	13
25.3	3.522	12
68.6	1.369	12
66.1	1.414	12